(1)
This entry pairs a crystal structure of YTmMg2 with its computed X-ray powder pattern. Radiation: Cu Ka. Structure: a GGA-PBE-relaxed structure.

Main lines, most intense first (2θ = 15–90°):
d (Å)	Position (°2θ)	I (rel.)
2.672	33.54	100.0
3.779	23.54	54.7
1.543	59.96	36.9
1.690	54.28	22.7
1.890	48.16	17.9
2.182	41.38	16.6
1.195	80.34	15.6
4.364	20.35	13.5
1.336	70.48	11.3
1.260	75.47	10.8

Structure:
Cell: 7.5583 7.5583 7.5583 Å, 90.00 90.00 90.00°
Space group Fm-3m (No. 225)
Inequivalent atoms, fractional coordinates:
Y: 0.0000 0.0000 0.0000 (multiplicity 4)
Tm: 0.0000 0.0000 0.5000 (multiplicity 4)
Mg: 0.2500 0.2500 0.2500 (multiplicity 8)

(2)
This entry pairs a crystal structure of CeGeAu with its computed X-ray powder pattern. Radiation: Cu Ka. Structure: a GGA-PBE-relaxed structure.

Main lines, most intense first (2θ = 15–90°):
d (Å)	Position (°2θ)	I (rel.)
2.777	32.23	100.0
2.235	40.35	62.8
1.488	62.43	29.6
3.482	25.58	28.7
1.741	52.56	25.2
1.374	68.28	23.0
2.191	41.20	12.8
1.993	45.51	12.6
1.290	73.37	10.8
3.986	22.30	8.9

Structure:
Cell: 4.4701 4.4701 7.9730 Å, 90.00 90.00 120.00°
Space group P6_3mc (No. 186)
Inequivalent atoms, fractional coordinates:
Ce: 0.0000 0.0000 0.0000 (multiplicity 2)
Ge: 0.3333 0.6667 0.2259 (multiplicity 2)
Au: 0.3333 0.6667 0.7689 (multiplicity 2)

(3)
This entry pairs a crystal structure of Dy5CoSb2 with its computed X-ray powder pattern. Radiation: Cu Ka. Structure: a GGA-PBE-relaxed structure.

Main lines, most intense first (2θ = 15–90°):
d (Å)	Position (°2θ)	I (rel.)
2.853	31.36	100.0
2.790	32.08	52.9
2.645	33.89	29.7
2.186	41.31	22.6
2.578	34.80	17.2
3.244	27.50	17.2
1.734	52.79	16.3
2.840	31.50	14.9
2.506	35.83	11.6
2.334	38.57	9.3

Structure:
Cell: 12.2361 8.7421 7.9125 Å, 90.00 90.00 90.00°
Space group Pnma (No. 62)
Inequivalent atoms, fractional coordinates:
Dy: 0.0016 0.2500 0.0481 (multiplicity 4)
Dy: 0.0652 0.5365 0.3211 (multiplicity 8)
Dy: 0.1928 0.2500 0.6194 (multiplicity 4)
Dy: 0.2026 0.7500 0.6562 (multiplicity 4)
Co: 0.0091 0.2500 0.4325 (multiplicity 4)
Sb: 0.1733 0.0096 0.9288 (multiplicity 8)